No. 1
Structure and simulated powder X-ray diffraction pattern of Nd5Dy2Tm5 (a PBE-relaxed structure; a wavelength of 1.5418 Å).
Intensities are scaled so that the largest is 100.

Structure:
Cell lengths 15.185, 5.046, 11.330 Å; angles 90.00, 116.61, 90.00 degrees
Space group C2/m (No. 12)
Unique sites:
Nd1 0.000 0.000 0.000 [2 per cell]
Nd2 0.082 0.000 0.749 [4 per cell]
Nd3 0.249 0.000 0.250 [4 per cell]
Dy1 0.166 0.000 0.499 [4 per cell]
Tm1 0.000 0.500 0.500 [2 per cell]
Tm2 0.084 0.500 0.252 [4 per cell]
Tm3 0.167 0.500 0.000 [4 per cell]

Peak list (10 most intense, 2θ = 10–80°, most intense first)
two_theta	I/Imax
30.62	100
35.46	34
60.68	29
51.11	24
35.59	17
60.85	14
63.75	12
51.02	12
75.04	4
75.34	2



No. 2
Structure and simulated powder X-ray diffraction pattern of Nd4DyTm4 (a PBE-relaxed structure; a wavelength of 1.5418 Å).
Intensities are scaled so that the largest is 100.

Structure:
Cell lengths 10.754, 10.754, 5.052 Å; angles 90.00, 90.00, 90.00 degrees
Space group I4/mmm (No. 139)
Unique sites:
Nd1 0.000 0.330 0.000 [8 per cell]
Dy1 0.000 0.000 0.000 [2 per cell]
Tm1 0.166 0.166 0.500 [8 per cell]

Peak list (10 most intense, 2θ = 10–80°, most intense first)
two_theta	I/Imax
30.58	100
51.01	36
35.41	34
60.60	29
35.54	17
60.77	14
63.66	12
74.93	4
75.24	2
11.64	1



No. 3
Structure and simulated powder X-ray diffraction pattern of NdDy3Tm5 (a PBE-relaxed structure; a wavelength of 1.5418 Å).
Intensities are scaled so that the largest is 100.

Structure:
Cell lengths 16.708, 7.900, 12.132 Å; angles 90.00, 130.54, 90.00 degrees
Space group C2/m (No. 12)
Unique sites:
Nd1 0.237 0.000 0.131 [4 per cell]
Dy1 0.000 0.000 0.000 [2 per cell]
Dy2 0.000 0.500 0.500 [2 per cell]
Dy3 0.120 0.500 0.314 [4 per cell]
Dy4 0.173 0.000 0.341 [4 per cell]
Tm1 0.000 0.322 0.000 [4 per cell]
Tm2 0.065 0.206 0.781 [8 per cell]
Tm3 0.122 0.000 0.565 [4 per cell]
Tm4 0.201 0.500 0.073 [4 per cell]

Peak list (10 most intense, 2θ = 10–80°, most intense first)
two_theta	I/Imax
31.53	100
32.19	63
31.36	62
33.03	60
30.56	49
35.39	45
22.51	41
26.58	38
45.92	33
29.67	31



No. 4
Structure and simulated powder X-ray diffraction pattern of Nd3Dy5Tm4 (a PBE-relaxed structure; a wavelength of 1.5418 Å).
Intensities are scaled so that the largest is 100.

Structure:
Cell lengths 6.162, 7.113, 8.708 Å; angles 90.01, 90.07, 90.14 degrees
Space group P-1 (No. 2)
Unique sites:
Nd1 0.000 0.000 0.000 [1 per cell]
Nd2 0.166 0.749 0.666 [2 per cell]
Dy1 0.000 0.500 0.000 [1 per cell]
Dy2 0.335 0.000 0.334 [2 per cell]
Dy3 0.499 0.252 0.000 [2 per cell]
Tm1 0.169 0.252 0.666 [2 per cell]
Tm2 0.334 0.500 0.333 [2 per cell]

Peak list (10 most intense, 2θ = 10–80°, most intense first)
two_theta	I/Imax
30.79	100
35.70	51
61.09	32
51.36	24
51.43	12
61.18	11
64.11	6
64.18	6
75.58	4
75.73	2